# 1
# Na3TiO3
Simulated X-ray diffraction stick pattern, CuKα. Input: a GGA-PBE-relaxed structure.

Crystal structure
abc: 9.6359 9.6615 4.4021
angles: 90.00 90.00 90.00
Space group Pnnm (No. 58)
One atom of each set of equivalent atoms:
Na (0.1209, 0.1362, 0.0000)
Na (0.1346, 0.8793, 0.5000)
Na (0.1521, 0.3480, 0.5000)
Ti (0.1157, 0.6152, 0.0000)
O (0.0949, 0.4053, 0.0000)
O (0.1055, 0.8069, 0.0000)
O (0.1920, 0.1053, 0.5000)

Principal peaks in the range 2θ = 10–80°, in order of rising 2θ:
22.20 deg, intensity 93.5
24.06 deg, intensity 26.1
33.23 deg, intensity 100.0
37.23 deg, intensity 51.8
37.33 deg, intensity 52.0
41.01 deg, intensity 59.0
53.74 deg, intensity 21.4
56.61 deg, intensity 52.8
64.73 deg, intensity 20.3
69.76 deg, intensity 28.5

***

# 2
# HoSi2IrRh
Simulated X-ray diffraction stick pattern, CuKα. Input: a GGA-PBE-relaxed structure.

Crystal structure
abc: 4.0662 4.0662 9.9596
angles: 90.00 90.00 90.00
Space group I-4m2 (No. 119)
One atom of each set of equivalent atoms:
Ho (0.0000, 0.0000, 0.0000)
Si (0.0000, 0.0000, 0.3789)
Ir (0.0000, 0.5000, 0.7500)
Rh (0.0000, 0.5000, 0.2500)

Principal peaks in the range 2θ = 10–80°, in order of rising 2θ:
17.81 deg, intensity 9.7
23.63 deg, intensity 24.3
34.89 deg, intensity 20.4
36.07 deg, intensity 100.0
44.57 deg, intensity 29.0
51.06 deg, intensity 14.0
57.81 deg, intensity 9.6
58.62 deg, intensity 15.8
64.86 deg, intensity 24.0
76.52 deg, intensity 29.2

***

# 3
# Tl2AgBr2Cl
Simulated X-ray diffraction stick pattern, CuKα. Input: a GGA-PBE-relaxed structure.

Crystal structure
abc: 18.4084 6.7297 6.7238
angles: 90.00 90.00 90.00
Space group Cmc2_1 (No. 36)
One atom of each set of equivalent atoms:
Tl (0.1602, 0.2465, 0.0000)
Ag (0.0000, 0.3272, 0.5699)
Br (0.1419, 0.2429, 0.4915)
Cl (0.0000, 0.2844, 0.9677)

Principal peaks in the range 2θ = 10–80°, in order of rising 2θ:
19.28 deg, intensity 19.9
23.67 deg, intensity 55.4
26.50 deg, intensity 100.0
29.11 deg, intensity 35.8
32.99 deg, intensity 24.2
37.83 deg, intensity 35.3
39.77 deg, intensity 52.8
42.80 deg, intensity 19.1
48.43 deg, intensity 41.4
63.05 deg, intensity 19.0

***

# 4
# TbHo4Er
Simulated X-ray diffraction stick pattern, CuKα. Input: a GGA-PBE-relaxed structure.

Crystal structure
abc: 9.2041 9.2041 9.2041
angles: 90.00 90.00 90.00
Space group F-43m (No. 216)
One atom of each set of equivalent atoms:
Tb (0.0000, 0.0000, 0.0000)
Ho (0.1250, 0.1250, 0.6250)
Er (0.2500, 0.2500, 0.2500)

Principal peaks in the range 2θ = 10–80°, in order of rising 2θ:
27.41 deg, intensity 25.9
32.26 deg, intensity 100.0
33.73 deg, intensity 40.9
39.15 deg, intensity 5.2
48.45 deg, intensity 11.0
51.60 deg, intensity 35.8
56.56 deg, intensity 31.6
66.63 deg, intensity 12.5
67.50 deg, intensity 16.6
77.63 deg, intensity 5.5

***

# 5
# Ho2ErTl
Simulated X-ray diffraction stick pattern, CuKα. Input: a GGA-PBE-relaxed structure.

Crystal structure
abc: 3.6375 12.8034 10.1092
angles: 90.00 90.00 90.00
Space group Cmcm (No. 63)
One atom of each set of equivalent atoms:
Ho (0.0000, 0.1295, 0.0337)
Er (0.0000, 0.4602, 0.2500)
Tl (0.0000, 0.2529, 0.7500)

Principal peaks in the range 2θ = 10–80°, in order of rising 2θ:
29.97 deg, intensity 26.9
31.09 deg, intensity 94.1
32.34 deg, intensity 40.4
33.13 deg, intensity 100.0
33.56 deg, intensity 72.1
35.52 deg, intensity 41.1
37.04 deg, intensity 45.0
50.16 deg, intensity 22.1
56.34 deg, intensity 39.2
61.44 deg, intensity 34.4

***

# 6
# Cu4PbF8
Simulated X-ray diffraction stick pattern, CuKα. Input: a GGA-PBE-relaxed structure.

Crystal structure
abc: 11.7570 6.1638 7.5619
angles: 90.00 128.76 90.00
Space group C2/m (No. 12)
One atom of each set of equivalent atoms:
Cu (0.0000, 0.2476, 0.0000)
Cu (0.2178, 0.0000, 0.4866)
Pb (0.0000, 0.5000, 0.5000)
F (0.0093, 0.0000, 0.8375)
F (0.0189, 0.5000, 0.8488)
F (0.2132, 0.2665, 0.6335)

Principal peaks in the range 2θ = 10–80°, in order of rising 2θ:
15.03 deg, intensity 64.2
17.34 deg, intensity 62.8
18.57 deg, intensity 68.0
19.37 deg, intensity 39.7
27.15 deg, intensity 53.1
30.32 deg, intensity 53.1
32.76 deg, intensity 100.0
39.31 deg, intensity 42.3
43.57 deg, intensity 57.2
47.83 deg, intensity 55.4